# 1
Simulated powder diffraction line list of In3Te3Se for Cu Kα (λ = 1.5418 Å), from a structure optimized by DFT (GGA-PBE).
Peak positions follow from Bragg's law for the DFT cell and can differ from measured ones.

Main lines, low angle first (2θ from 10° to 90°):
18.86 deg, I = 20
21.81 deg, I = 100
27.86 deg, I = 75
28.98 deg, I = 19
32.24 deg, I = 14
35.66 deg, I = 56
38.25 deg, I = 84
40.64 deg, I = 15
44.46 deg, I = 12
47.98 deg, I = 87
53.28 deg, I = 14
71.23 deg, I = 26

Structure:
a b c (Å): 9.418 9.418 6.405
angles (deg): 90.00 90.00 120.12
Positions (direct):
In 0.168 0.336 0.750
In 0.168 0.832 0.750
In 0.336 0.168 0.250
In 0.664 0.832 0.750
In 0.832 0.168 0.250
In 0.832 0.664 0.250
Te 0.184 0.816 0.250
Te 0.185 0.369 0.250
Te 0.369 0.185 0.750
Te 0.631 0.815 0.250
Te 0.815 0.631 0.750
Te 0.816 0.184 0.750
Se 0.333 0.667 0.750
Se 0.667 0.333 0.250

# 2
Simulated powder diffraction line list of TlIn2Te2Se for Cu Kα (λ = 1.5418 Å), from a structure optimized by DFT (GGA-PBE).
Peak positions follow from Bragg's law for the DFT cell and can differ from measured ones.

Main lines, low angle first (2θ from 10° to 90°):
16.89 deg, I = 31
24.49 deg, I = 24
25.84 deg, I = 31
26.72 deg, I = 100
27.02 deg, I = 26
27.26 deg, I = 46
27.83 deg, I = 75
35.23 deg, I = 24
36.28 deg, I = 55
44.49 deg, I = 34
48.74 deg, I = 26
50.54 deg, I = 25

Structure:
a b c (Å): 7.527 7.270 7.851
angles (deg): 90.00 93.79 90.00
Positions (direct):
Tl 0.092 0.250 0.135
Tl 0.908 0.750 0.865
In 0.411 0.014 0.730
In 0.411 0.486 0.730
In 0.589 0.514 0.270
In 0.589 0.986 0.270
Te 0.102 0.250 0.721
Te 0.345 0.750 0.007
Te 0.655 0.250 0.993
Te 0.898 0.750 0.279
Se 0.385 0.750 0.479
Se 0.615 0.250 0.521

# 3
Simulated powder diffraction line list of Th2InSe6 for Cu Kα (λ = 1.5418 Å), from a structure optimized by DFT (GGA-PBE).
Peak positions follow from Bragg's law for the DFT cell and can differ from measured ones.

Main lines, low angle first (2θ from 10° to 90°):
18.66 deg, I = 100
24.50 deg, I = 46
27.91 deg, I = 37
29.71 deg, I = 13
36.41 deg, I = 95
37.84 deg, I = 34
41.83 deg, I = 18
45.60 deg, I = 49
46.18 deg, I = 21
57.67 deg, I = 20
60.70 deg, I = 13
79.99 deg, I = 18

Structure:
a b c (Å): 6.724 6.724 12.956
angles (deg): 90.00 90.00 90.00
Positions (direct):
Th 0.000 0.000 0.167
Th 0.000 0.000 0.833
Th 0.500 0.500 0.333
Th 0.500 0.500 0.667
In 0.000 0.000 0.500
In 0.500 0.500 0.000
Se 0.196 0.196 0.342
Se 0.196 0.196 0.658
Se 0.202 0.202 0.000
Se 0.298 0.702 0.500
Se 0.304 0.696 0.158
Se 0.304 0.696 0.842
Se 0.696 0.304 0.158
Se 0.696 0.304 0.842
Se 0.702 0.298 0.500
Se 0.798 0.798 0.000
Se 0.804 0.804 0.342
Se 0.804 0.804 0.658